Calculated powder diffraction line list of Dy2Ni12As7 for a wavelength of 1.5418 Å, from a GGA-PBE-relaxed structure.
Neutral-atom scattering factors, no anomalous dispersion.

Crystal structure
```
Dy2Ni12As7
1.0
9.3621 0.0000 0.0000
-4.6811 8.1079 0.0000
0.0000 0.0000 3.8317
Dy Ni As
2 12 7
direct
0.0000 0.0000 0.0000 Dy
0.3333 0.6667 0.5000 Dy
0.0479 0.7710 0.5000 Ni
0.0925 0.3807 0.0000 Ni
0.2290 0.2768 0.5000 Ni
0.2882 0.9075 0.0000 Ni
0.4555 0.2381 0.0000 Ni
0.5147 0.0541 0.5000 Ni
0.5394 0.4853 0.5000 Ni
0.6193 0.7118 0.0000 Ni
0.7232 0.9521 0.5000 Ni
0.7619 0.2174 0.0000 Ni
0.7826 0.5445 0.0000 Ni
0.9459 0.4606 0.5000 Ni
0.0732 0.6298 0.0000 As
0.2620 0.0461 0.5000 As
0.3702 0.4434 0.0000 As
0.5566 0.9268 0.0000 As
0.6667 0.3333 0.5000 As
0.7841 0.7380 0.5000 As
0.9539 0.2159 0.5000 As
```

Top 10 peaks for 2θ = 10–90°, by intensity:
2θ (°), d_spacing, intensity
37.58, 2.393, 100.0
47.45, 1.916, 25.3
51.66, 1.769, 23.7
72.77, 1.300, 20.8
46.84, 1.939, 19.8
54.87, 1.673, 17.4
32.14, 2.785, 15.0
33.15, 2.703, 12.8
44.71, 2.027, 10.2
81.67, 1.179, 9.8